# 1
Starting from a DFT-relaxed cell (PBE, Alexandria), the PXRD pattern of AlSiAu was computed for Cu Kα.

Most intense lines, 2θ from 15° to 90°, in order of falling intensity:
| 2θ (°) | I/Imax | hkl |
| --- | --- | --- |
| 28.17 | 100 | 2 0 -1 |
| 28.66 | 71 | 1 1 -1 |
| 43.98 | 51 | 1 1 -4 |
| 27.04 | 37 | 0 0 3 |
| 37.20 | 33 | 2 0 2 |
| 41.63 | 29 | 1 1 3 |
| 49.51 | 29 | 3 1 -1 |
| 35.28 | 26 | 1 1 2 |
| 57.41 | 20 | 3 1 2 |
| 41.50 | 15 | 2 0 -4 |

Atomic structure:
abc: 6.3831 3.6724 10.1224
angles: 90.00 102.27 90.00
Space group Cm (No. 8)
One atom of each set of equivalent atoms:
Al (0.0000, 0.0000, 0.0000) (multiplicity 2)
Al (0.0563, 0.5000, 0.6740) (multiplicity 2)
Si (0.3323, 0.5000, 0.4991) (multiplicity 2)
Si (0.4647, 0.0000, 0.3957) (multiplicity 2)
Au (0.2778, 0.0000, 0.8375) (multiplicity 2)
Au (0.3826, 0.0000, 0.1481) (multiplicity 2)



# 2
Starting from a DFT-relaxed cell (PBE, Alexandria), the PXRD pattern of CdBi12Cl14O12 was computed for Cu Kα.

Most intense lines, 2θ from 15° to 90°, in order of falling intensity:
| 2θ (°) | I/Imax | hkl |
| --- | --- | --- |
| 31.54 | 100 | 1 13 1 |
| 25.63 | 82 | 1 7 1 |
| 32.48 | 62 | 2 0 0 |
| 57.36 | 37 | 3 13 1 |
| 46.60 | 29 | 2 0 2 |
| 53.93 | 24 | 3 7 1 |
| 47.23 | 23 | 2 20 0 |
| 40.27 | 21 | 2 14 0 |
| 51.53 | 20 | 1 27 1 |
| 34.00 | 20 | 2 6 0 |

Atomic structure:
abc: 5.5126 53.7715 5.5126
angles: 90.00 90.00 90.00
Space group Cmmm (No. 65)
One atom of each set of equivalent atoms:
Cd (0.0000, 0.0000, 0.0000) (multiplicity 2)
Bi (0.0000, 0.0763, 0.5000) (multiplicity 4)
Bi (0.0000, 0.1243, 0.0000) (multiplicity 4)
Bi (0.0000, 0.2262, 0.5000) (multiplicity 4)
Bi (0.0000, 0.2738, 0.0000) (multiplicity 4)
Bi (0.0000, 0.3763, 0.5000) (multiplicity 4)
Bi (0.0000, 0.4237, 0.0000) (multiplicity 4)
Cl (0.0000, 0.0000, 0.5000) (multiplicity 2)
Cl (0.0000, 0.0503, 0.0000) (multiplicity 4)
Cl (0.0000, 0.1498, 0.5000) (multiplicity 4)
Cl (0.0000, 0.2003, 0.0000) (multiplicity 4)
Cl (0.0000, 0.2996, 0.5000) (multiplicity 4)
Cl (0.0000, 0.3502, 0.0000) (multiplicity 4)
Cl (0.0000, 0.4482, 0.5000) (multiplicity 4)
Cl (0.0000, 0.5000, 0.0000) (multiplicity 2)
O (0.2485, 0.1001, 0.2485) (multiplicity 16)
O (0.2500, 0.2500, 0.2500) (multiplicity 8)



# 3
Starting from a DFT-relaxed cell (PBE, Alexandria), the PXRD pattern of Pm2TaSnN5 was computed for Cu Kα.

Most intense lines, 2θ from 15° to 90°, in order of falling intensity:
| 2θ (°) | I/Imax | hkl |
| --- | --- | --- |
| 30.45 | 100 | 0 4 2 |
| 32.46 | 53 | 1 1 2 |
| 37.77 | 52 | 1 1 3 |
| 33.00 | 51 | 1 3 0 |
| 33.95 | 33 | 0 0 4 |
| 28.32 | 30 | 0 2 3 |
| 34.10 | 30 | 1 3 1 |
| 56.09 | 28 | 1 7 2 |
| 64.46 | 27 | 2 4 2 |
| 55.08 | 27 | 1 3 5 |

Atomic structure:
abc: 3.3221 14.1269 10.5630
angles: 90.00 90.00 90.00
Space group Cmc2_1 (No. 36)
One atom of each set of equivalent atoms:
Pm (0.0000, 0.1174, 0.0000) (multiplicity 4)
Pm (0.0000, 0.1336, 0.5728) (multiplicity 4)
Ta (0.0000, 0.2263, 0.2982) (multiplicity 4)
Sn (0.0000, 0.4822, 0.7647) (multiplicity 4)
N (0.0000, 0.0686, 0.3506) (multiplicity 4)
N (0.0000, 0.2809, 0.9316) (multiplicity 4)
N (0.0000, 0.2989, 0.6696) (multiplicity 4)
N (0.0000, 0.3659, 0.2981) (multiplicity 4)
N (0.0000, 0.4986, 0.0714) (multiplicity 4)



# 4
Starting from a DFT-relaxed cell (PBE, Alexandria), the PXRD pattern of Pm4Y2HoSc was computed for Cu Kα.

Most intense lines, 2θ from 15° to 90°, in order of falling intensity:
| 2θ (°) | I/Imax | hkl |
| --- | --- | --- |
| 30.72 | 100 | 1 1 2 |
| 35.34 | 34 | 2 0 0 |
| 51.48 | 23 | 2 0 4 |
| 36.19 | 16 | 0 0 4 |
| 60.53 | 14 | 1 3 2 |
| 60.63 | 14 | 3 1 2 |
| 61.72 | 13 | 1 1 6 |
| 50.84 | 12 | 2 2 0 |
| 63.99 | 12 | 2 2 4 |
| 82.95 | 6 | 3 3 2 |

Atomic structure:
abc: 5.0745 5.0858 9.9283
angles: 90.00 90.00 90.00
Space group Pmmm (No. 47)
One atom of each set of equivalent atoms:
Pm (0.0000, 0.0000, 0.2451) (multiplicity 2)
Pm (0.5000, 0.5000, 0.2453) (multiplicity 2)
Y (0.0000, 0.5000, 0.0000) (multiplicity 1)
Y (0.5000, 0.0000, 0.5000) (multiplicity 1)
Ho (0.0000, 0.5000, 0.5000) (multiplicity 1)
Sc (0.5000, 0.0000, 0.0000) (multiplicity 1)